Record 1
The following is a simulated powder XRD pattern of ZrZn3F6. It was derived from a DFT-relaxed cell (GGA-PBE, the Materials Project), using λ = 1.5418 Å (Cu Kα).
Kinematic intensities with the Lorentz-polarization factor, no thermal factor.

Cell and atoms:
a = 4.8944 Å, b = 5.4926 Å, c = 8.0259 Å
α = 83.59°, β = 72.28°, γ = 79.09°
Positions (direct):
Zr: 0.0000 0.0000 0.0000
Zn: 0.0000 0.0000 0.5000
Zn: 0.5000 0.0000 0.5000
Zn: 0.5000 0.5000 0.0000
F: 0.1860 0.7559 0.1697
F: 0.2070 0.2820 0.0130
F: 0.3628 0.7991 0.8309
F: 0.6372 0.2009 0.1691
F: 0.7930 0.7180 0.9870
F: 0.8140 0.2441 0.8303

Main lines, low angle first (2θ from 10° to 90°):
11.59°, d 7.632, I = 45; 16.46°, d 5.384, I = 53; 19.62°, d 4.524, I = 18; 22.90°, d 3.883, I = 32; 23.30°, d 3.817, I = 100; 28.00°, d 3.187, I = 18; 39.42°, d 2.286, I = 24; 42.18°, d 2.142, I = 17; 46.80°, d 1.941, I = 18; 47.63°, d 1.909, I = 25


Record 2
The following is a simulated powder XRD pattern of ZrZnF6. It was derived from a DFT-relaxed cell (GGA-PBE, the Materials Project), using λ = 1.5418 Å (Cu Kα).
Kinematic intensities with the Lorentz-polarization factor, no thermal factor.

Cell and atoms:
a = 5.7806 Å, b = 5.7806 Å, c = 5.7806 Å
α = 60.00°, β = 60.00°, γ = 60.00°
Positions (direct):
Zr: 0.0000 0.0000 0.0000
Zn: 0.5000 0.5000 0.5000
F: 0.2494 0.2494 0.7506
F: 0.2494 0.7506 0.2494
F: 0.2494 0.7506 0.7506
F: 0.7506 0.2494 0.2494
F: 0.7506 0.2494 0.7506
F: 0.7506 0.7506 0.2494

Main lines, low angle first (2θ from 10° to 90°):
21.74°, d 4.088, I = 100; 30.94°, d 2.890, I = 29; 44.32°, d 2.044, I = 27; 49.89°, d 1.828, I = 39; 55.03°, d 1.669, I = 12; 64.48°, d 1.445, I = 15; 68.92°, d 1.363, I = 17; 73.23°, d 1.293, I = 5; 85.69°, d 1.134, I = 7; 89.77°, d 1.092, I = 6


Record 3
The following is a simulated powder XRD pattern of Zr3ZnF6. It was derived from a DFT-relaxed cell (GGA-PBE, the Materials Project), using λ = 1.5418 Å (Cu Kα).
Kinematic intensities with the Lorentz-polarization factor, no thermal factor.

Cell and atoms:
a = 5.6301 Å, b = 5.6327 Å, c = 11.0652 Å
α = 88.80°, β = 85.27°, γ = 66.16°
Positions (direct):
Zr: 0.0000 0.0000 0.0000
Zr: 0.0000 0.5000 0.5000
Zr: 0.5000 0.0000 0.5000
Zn: 0.0000 0.0000 0.5000
F: 0.2041 0.7466 0.8710
F: 0.3046 0.3308 0.6192
F: 0.3423 0.3156 0.3774
F: 0.6577 0.6844 0.6226
F: 0.6954 0.6692 0.3808
F: 0.7959 0.2534 0.1290

Main lines, low angle first (2θ from 10° to 90°):
16.08°, d 5.513, I = 100; 17.25°, d 5.141, I = 24; 20.04°, d 4.431, I = 34; 20.96°, d 4.237, I = 34; 22.69°, d 3.918, I = 14; 23.47°, d 3.790, I = 13; 34.83°, d 2.575, I = 13; 37.44°, d 2.402, I = 12; 38.24°, d 2.354, I = 15; 49.56°, d 1.839, I = 11


Record 4
The following is a simulated powder XRD pattern of Fe. It was derived from a DFT-relaxed cell (GGA-PBE, the Materials Project), using λ = 1.5418 Å (Cu Kα).
Kinematic intensities with the Lorentz-polarization factor, no thermal factor.

Cell and atoms:
a = 2.5779 Å, b = 2.5779 Å, c = 2.5779 Å
α = 60.00°, β = 60.00°, γ = 60.00°
Positions (direct):
Fe: 0.0000 0.0000 0.0000

Main lines, low angle first (2θ from 10° to 90°):
42.97°, d 2.105, I = 100; 50.04°, d 1.823, I = 46; 73.47°, d 1.289, I = 26; 89.07°, d 1.099, I = 31


Record 5
The following is a simulated powder XRD pattern of Fe. It was derived from a DFT-relaxed cell (GGA-PBE, the Materials Project), using λ = 1.5418 Å (Cu Kα).
Kinematic intensities with the Lorentz-polarization factor, no thermal factor.

Cell and atoms:
a = 2.4596 Å, b = 2.4596 Å, c = 2.4596 Å
α = 109.47°, β = 109.47°, γ = 109.47°
Positions (direct):
Fe: 0.0000 0.0000 0.0000

Main lines, low angle first (2θ from 10° to 90°):
45.15°, d 2.008, I = 100; 65.76°, d 1.420, I = 15; 83.35°, d 1.159, I = 29